Entry 1:
The following is a simulated powder diffractogram of Dy4Sc4Pb7. It was derived from DFT lattice parameters and positions (GGA-PBE), using Cu Kα.

The 10 most intense peaks (2θ = 10–90°), by intensity:
- 2θ 31.3, intensity 100, (5 0 1)
- 2θ 33.0, intensity 31, (3 1 2)
- 2θ 51.3, intensity 26, (5 0 3)
- 2θ 27.7, intensity 26, (0 0 2)
- 2θ 33.8, intensity 15, (6 0 0)
- 2θ 46.8, intensity 14, (6 5 1)
- 2θ 45.7, intensity 13, (6 2 2)
- 2θ 40.1, intensity 12, (5 5 0)
- 2θ 37.7, intensity 12, (4 2 2)
- 2θ 67.4, intensity 11, (10 5 1)

Cell lengths 15.9128, 15.9128, 6.4466 Å; angles 90.00, 90.00, 90.00 degrees
Space group I4/mmm (No. 139)
Inequivalent atoms, fractional coordinates:
Dy: 0.0000 0.1873 0.0000
Dy: 0.1316 0.1316 0.5000
Sc: 0.1515 0.3485 0.2500
Pb: 0.0000 0.0000 0.2490
Pb: 0.0000 0.2752 0.5000
Pb: 0.0000 0.4001 0.0000
Pb: 0.1960 0.1960 0.0000

=====

Entry 2:
The following is a simulated powder diffractogram of TbPm2Ho2Tm2. It was derived from DFT lattice parameters and positions (GGA-PBE), using Cu Kα.

The 10 most intense peaks (2θ = 10–90°), by intensity:
- 2θ 30.9, intensity 100, (2 0 -4)
- 2θ 32.7, intensity 69, (1 1 2)
- 2θ 35.4, intensity 49, (3 1 -2)
- 2θ 33.3, intensity 36, (2 0 3)
- 2θ 28.7, intensity 35, (1 1 1)
- 2θ 61.9, intensity 28, (2 2 -4)
- 2θ 52.0, intensity 24, (5 1 1)
- 2θ 38.2, intensity 19, (3 1 -3)
- 2θ 54.2, intensity 16, (1 1 -6)
- 2θ 61.5, intensity 15, (3 1 5)

Cell lengths 11.6461, 3.5034, 11.7624 Å; angles 90.00, 109.27, 90.00 degrees
Space group C2/m (No. 12)
Inequivalent atoms, fractional coordinates:
Tb: 0.0000 0.0000 0.0000
Pm: 0.1706 0.5000 0.5841
Ho: 0.0505 0.5000 0.2693
Tm: 0.2258 0.0000 0.8637

=====

Entry 3:
The following is a simulated powder diffractogram of KRbPb. It was derived from DFT lattice parameters and positions (GGA-PBE), using Cu Kα.

The 10 most intense peaks (2θ = 10–90°), by intensity:
- 2θ 13.1, intensity 100, (0 1 1)
- 2θ 22.3, intensity 82, (1 0 2)
- 2θ 24.7, intensity 63, (0 2 1)
- 2θ 33.5, intensity 59, (1 2 0)
- 2θ 35.3, intensity 59, (1 1 4)
- 2θ 43.5, intensity 52, (2 2 2)
- 2θ 28.3, intensity 49, (1 1 -1)
- 2θ 29.1, intensity 39, (1 0 -2)
- 2θ 18.5, intensity 35, (0 1 2)
- 2θ 26.4, intensity 30, (0 2 2)

Cell lengths 5.1079, 7.1962, 10.5695 Å; angles 70.25, 76.04, 89.98 degrees
Space group P-1 (No. 2)
Inequivalent atoms, fractional coordinates:
K: 0.0787 0.3284 0.3433
Rb: 0.3519 0.1025 0.7958
Pb: 0.2940 0.5446 0.9121

=====

Entry 4:
The following is a simulated powder diffractogram of SrSn2Te6Pb3. It was derived from DFT lattice parameters and positions (GGA-PBE), using Cu Kα.

The 10 most intense peaks (2θ = 10–90°), by intensity:
- 2θ 27.3, intensity 100, (1 1 -2)
- 2θ 38.9, intensity 78, (0 2 0)
- 2θ 63.6, intensity 31, (1 3 -2)
- 2θ 48.2, intensity 21, (6 2 0)
- 2θ 70.5, intensity 18, (7 3 -2)
- 2θ 56.3, intensity 13, (2 2 -4)
- 2θ 90.0, intensity 10, (6 4 0)
- 2θ 48.3, intensity 7, (8 0 -4)
- 2θ 70.6, intensity 7, (9 1 -6)
- 2θ 63.7, intensity 6, (8 2 -4)

Cell lengths 20.1541, 4.6258, 9.2451 Å; angles 90.00, 103.13, 90.00 degrees
Space group C2/m (No. 12)
Inequivalent atoms, fractional coordinates:
Sr: 0.0000 0.0000 0.0000
Sn: 0.1679 0.5000 0.3346
Te: 0.0033 0.5000 0.2551
Te: 0.1692 0.0000 0.0907
Te: 0.1688 0.0000 0.5791
Pb: 0.0000 0.0000 0.5000
Pb: 0.1655 0.5000 0.8323

=====

Entry 5:
The following is a simulated powder diffractogram of CaAc5La2Y. It was derived from DFT lattice parameters and positions (GGA-PBE), using Cu Kα.

The 10 most intense peaks (2θ = 10–90°), by intensity:
- 2θ 29.4, intensity 100, (1 5 2)
- 2θ 29.9, intensity 38, (2 0 0)
- 2θ 28.4, intensity 36, (1 1 3)
- 2θ 24.7, intensity 35, (1 3 2)
- 2θ 52.8, intensity 20, (3 5 2)
- 2θ 31.9, intensity 16, (0 0 4)
- 2θ 24.9, intensity 13, (0 6 1)
- 2θ 44.3, intensity 13, (2 0 4)
- 2θ 31.7, intensity 11, (0 8 0)
- 2θ 57.6, intensity 10, (1 13 2)

Cell lengths 5.9791, 22.6089, 11.2322 Å; angles 90.00, 90.00, 90.00 degrees
Space group Cmc2_1 (No. 36)
Inequivalent atoms, fractional coordinates:
Ca: 0.0000 0.0992 0.0000
Ac: 0.0000 0.0001 0.2503
Ac: 0.0000 0.1282 0.5006
Ac: 0.0000 0.2198 0.1905
Ac: 0.0000 0.2201 0.8106
Ac: 0.0000 0.4956 0.5005
La: 0.0000 0.3837 0.2297
La: 0.0000 0.3839 0.7713
Y: 0.0000 0.3006 0.5006

=====

Entry 6:
The following is a simulated powder diffractogram of Tb8Nd2Ho. It was derived from DFT lattice parameters and positions (GGA-PBE), using Cu Kα.

The 10 most intense peaks (2θ = 10–90°), by intensity:
- 2θ 30.6, intensity 100, (1 1 2)
- 2θ 35.5, intensity 51, (6 0 1)
- 2θ 60.7, intensity 43, (1 3 2)
- 2θ 51.0, intensity 36, (6 2 1)
- 2θ 83.2, intensity 18, (9 3 -4)
- 2θ 85.8, intensity 12, (6 4 1)
- 2θ 63.7, intensity 12, (2 2 4)
- 2θ 85.9, intensity 4, (12 2 2)
- 2θ 75.1, intensity 4, (0 4 0)
- 2θ 75.0, intensity 2, (8 0 -6)

Cell lengths 18.2420, 5.0610, 8.0088 Å; angles 90.00, 105.31, 90.00 degrees
Space group C2/m (No. 12)
Inequivalent atoms, fractional coordinates:
Tb: 0.0446 0.0000 0.2279
Tb: 0.0898 0.5000 0.9529
Tb: 0.1350 0.0000 0.6782
Tb: 0.1811 0.5000 0.4084
Nd: 0.2269 0.0000 0.1372
Ho: 0.0000 0.5000 0.5000

=====

Entry 7:
The following is a simulated powder diffractogram of Ca3Ni2As4. It was derived from DFT lattice parameters and positions (GGA-PBE), using Cu Kα.

The 10 most intense peaks (2θ = 10–90°), by intensity:
- 2θ 32.6, intensity 100, (1 1 2)
- 2θ 21.2, intensity 65, (2 0 1)
- 2θ 44.5, intensity 54, (3 1 -3)
- 2θ 42.6, intensity 34, (0 2 0)
- 2θ 43.1, intensity 32, (4 0 2)
- 2θ 33.4, intensity 29, (4 0 -1)
- 2θ 33.5, intensity 27, (0 0 3)
- 2θ 55.2, intensity 25, (4 2 -1)
- 2θ 62.2, intensity 21, (4 2 2)
- 2θ 63.8, intensity 19, (1 1 5)

Cell lengths 10.9242, 4.2486, 8.1128 Å; angles 90.00, 98.62, 90.00 degrees
Space group C2/m (No. 12)
Inequivalent atoms, fractional coordinates:
Ca: 0.0000 0.0000 0.0000
Ca: 0.1589 0.5000 0.6630
Ni: 0.1082 0.5000 0.2849
As: 0.0652 0.0000 0.3770
As: 0.2177 0.5000 0.0676

=====

Entry 8:
The following is a simulated powder diffractogram of KPu2MnCl8. It was derived from DFT lattice parameters and positions (GGA-PBE), using Cu Kα.

The 10 most intense peaks (2θ = 10–90°), by intensity:
- 2θ 18.9, intensity 100, (1 0 -1)
- 2θ 19.7, intensity 88, (1 0 1)
- 2θ 13.4, intensity 79, (0 0 1)
- 2θ 25.0, intensity 76, (1 2 0)
- 2θ 28.2, intensity 75, (1 2 -1)
- 2θ 13.8, intensity 70, (1 0 0)
- 2θ 24.8, intensity 51, (0 2 1)
- 2θ 37.1, intensity 48, (2 2 -1)
- 2θ 38.0, intensity 47, (2 2 1)
- 2θ 36.7, intensity 38, (1 2 -2)

Cell lengths 6.4218, 8.5775, 6.5992 Å; angles 90.00, 92.42, 90.00 degrees
Space group P2/m (No. 10)
Inequivalent atoms, fractional coordinates:
K: 0.0000 0.0000 0.0000
Pu: 0.5000 0.2590 0.5000
Mn: 0.0000 0.5000 0.0000
Cl: 0.2196 0.2934 0.1664
Cl: 0.2664 0.5000 0.6790
Cl: 0.2805 0.0000 0.6374

=====

Entry 9:
The following is a simulated powder diffractogram of Tl5I3Br2. It was derived from DFT lattice parameters and positions (GGA-PBE), using Cu Kα.

The 10 most intense peaks (2θ = 10–90°), by intensity:
- 2θ 25.6, intensity 100, (0 1 3)
- 2θ 36.5, intensity 78, (2 1 1)
- 2θ 59.4, intensity 36, (3 3 1)
- 2θ 65.8, intensity 26, (3 4 4)
- 2θ 22.1, intensity 16, (0 2 1)
- 2θ 45.1, intensity 14, (2 0 -2)
- 2θ 45.2, intensity 14, (2 2 4)
- 2θ 52.6, intensity 13, (0 2 6)
- 2θ 83.4, intensity 11, (4 1 -1)
- 2θ 89.0, intensity 9, (4 5 1)

Cell lengths 4.9184, 8.5184, 10.9895 Å; angles 75.06, 77.12, 73.25 degrees
Space group P-1 (No. 2)
Inequivalent atoms, fractional coordinates:
Tl: 0.0000 0.0000 0.0000
Tl: 0.1960 0.4214 0.1861
Tl: 0.4042 0.8033 0.3883
I: 0.0000 0.5000 0.5000
I: 0.2085 0.8828 0.7003
Br: 0.4027 0.2889 0.9061

=====

Entry 10:
The following is a simulated powder diffractogram of KBiPb2Se4. It was derived from DFT lattice parameters and positions (GGA-PBE), using Cu Kα.

The 10 most intense peaks (2θ = 10–90°), by intensity:
- 2θ 28.6, intensity 100, (2 2 0)
- 2θ 41.2, intensity 94, (4 0 0)
- 2θ 29.0, intensity 49, (0 0 4)
- 2θ 12.3, intensity 22, (0 1 1)
- 2θ 50.7, intensity 20, (0 4 4)
- 2θ 51.1, intensity 20, (4 0 4)
- 2θ 40.7, intensity 19, (0 4 0)
- 2θ 75.0, intensity 19, (0 4 8)
- 2θ 67.3, intensity 17, (4 4 4)
- 2θ 67.8, intensity 17, (2 2 8)

Cell lengths 8.7739, 8.8665, 12.3364 Å; angles 90.00, 90.00, 90.00 degrees
Space group Imma (No. 74)
Inequivalent atoms, fractional coordinates:
K: 0.2500 0.2500 0.2500
Bi: 0.0000 0.0000 0.0000
Pb: 0.0000 0.0000 0.5000
Pb: 0.2500 0.2500 0.7500
Se: 0.0000 0.0111 0.7563
Se: 0.2392 0.2500 0.9971

=====

Entry 11:
The following is a simulated powder diffractogram of Y4IrAu. It was derived from DFT lattice parameters and positions (GGA-PBE), using Cu Kα.

The 10 most intense peaks (2θ = 10–90°), by intensity:
- 2θ 33.1, intensity 100, (2 1 3)
- 2θ 37.7, intensity 98, (0 2 0)
- 2θ 31.3, intensity 90, (1 1 4)
- 2θ 34.1, intensity 77, (0 1 5)
- 2θ 22.2, intensity 65, (1 1 1)
- 2θ 39.5, intensity 47, (3 0 4)
- 2θ 40.5, intensity 44, (2 1 5)
- 2θ 44.0, intensity 38, (3 1 4)
- 2θ 55.8, intensity 35, (3 2 4)
- 2θ 32.5, intensity 35, (3 0 1)

Cell lengths 8.4043, 4.7663, 15.7558 Å; angles 90.00, 90.00, 90.00 degrees
Space group Pnma (No. 62)
Inequivalent atoms, fractional coordinates:
Y: 0.0348 0.2500 0.0799
Y: 0.0871 0.2500 0.7746
Y: 0.1342 0.2500 0.3355
Y: 0.1477 0.2500 0.5655
Ir: 0.1886 0.7500 0.6823
Au: 0.2372 0.7500 0.4393

=====

Entry 12:
The following is a simulated powder diffractogram of Ac5Pr2Er. It was derived from DFT lattice parameters and positions (GGA-PBE), using Cu Kα.

The 10 most intense peaks (2θ = 10–90°), by intensity:
- 2θ 29.1, intensity 100, (1 3 1)
- 2θ 27.8, intensity 80, (3 1 -2)
- 2θ 29.3, intensity 47, (2 0 2)
- 2θ 27.8, intensity 40, (5 1 0)
- 2θ 40.8, intensity 28, (2 2 -3)
- 2θ 51.9, intensity 19, (3 3 3)
- 2θ 50.8, intensity 18, (2 4 -3)
- 2θ 51.1, intensity 15, (1 1 -4)
- 2θ 40.5, intensity 15, (4 4 -1)
- 2θ 50.6, intensity 14, (3 5 -2)

Cell lengths 17.2450, 10.6779, 7.3093 Å; angles 90.00, 102.92, 90.00 degrees
Space group C2/c (No. 15)
Inequivalent atoms, fractional coordinates:
Ac: 0.0000 0.0707 0.2500
Ac: 0.0961 0.4069 0.1529
Ac: 0.2067 0.0810 0.0540
Pr: 0.0896 0.2533 0.6628
Er: 0.2500 0.2500 0.5000